The following is a theoretical XRD peak list of Ti6Mn5Fe. It was derived from the GGA-PBE geometry in Alexandria, using λ = 1.5418 Å (Cu Kα).
Intensities are scaled so that the largest is 100.

Main lines, low angle first (10 to 90 degrees two-theta):
2θ/deg, Rel. int.
29.98, 1
42.91, 100
62.29, 15
78.57, 19
78.70, 9

Crystal structure
```
Ti6Mn5Fe
1.0
-2.105 2.984 6.327
2.105 -2.984 6.327
2.105 2.984 -6.327
Ti Mn Fe
6 5 1
direct
0.084 0.334 0.750
0.249 0.000 0.249
0.416 0.666 0.750
0.584 0.334 0.250
0.751 0.000 0.751
0.916 0.666 0.250
0.168 0.168 0.000
0.334 0.834 0.500
0.500 0.500 0.000
0.666 0.166 0.500
0.832 0.832 0.000
0.000 0.500 0.500
```



The following is a theoretical XRD peak list of Ti4MnFe3. It was derived from the GGA-PBE geometry in Alexandria, using λ = 1.5418 Å (Cu Kα).
Intensities are scaled so that the largest is 100.

Main lines, low angle first (10 to 90 degrees two-theta):
2θ/deg, Rel. int.
30.22, 1
43.27, 100
62.76, 5
62.90, 10
79.38, 28

Crystal structure
```
Ti4MnFe3
1.0
2.955 0.000 0.000
0.000 2.955 0.000
0.000 0.000 11.843
Ti Mn Fe
4 1 3
direct
0.000 0.000 0.124
0.000 0.000 0.375
0.000 0.000 0.625
0.000 0.000 0.876
0.500 0.500 0.000
0.500 0.500 0.253
0.500 0.500 0.500
0.500 0.500 0.747
```



The following is a theoretical XRD peak list of TiMnZnFe. It was derived from the GGA-PBE geometry in Alexandria, using λ = 1.5418 Å (Cu Kα).
Intensities are scaled so that the largest is 100.

Main lines, low angle first (10 to 90 degrees two-theta):
2θ/deg, Rel. int.
41.39, 100
42.46, 100
44.70, 42
46.28, 39
54.97, 18
66.31, 23

Crystal structure
```
TiMnZnFe
1.0
2.674 0.000 0.000
0.000 3.923 0.000
-0.988 0.000 5.069
Ti Mn Zn Fe
1 1 1 1
direct
0.000 0.000 0.000
0.466 0.500 0.765
0.577 0.500 0.292
0.073 0.000 0.531
```



The following is a theoretical XRD peak list of TmMn7Fe5. It was derived from the GGA-PBE geometry in Alexandria, using λ = 1.5418 Å (Cu Kα).
Intensities are scaled so that the largest is 100.

Main lines, low angle first (10 to 90 degrees two-theta):
2θ/deg, Rel. int.
30.81, 61
37.95, 31
43.62, 39
43.89, 100
43.98, 69
44.53, 97

Crystal structure
```
TmMn7Fe5
1.0
-2.336 4.128 4.150
2.336 -4.128 4.150
2.336 4.128 -4.150
Tm Mn Fe
1 7 5
direct
0.000 0.000 0.000
0.225 0.502 0.723
0.232 0.732 0.500
0.363 0.003 0.360
0.364 0.364 0.000
0.638 0.638 0.000
0.642 0.003 0.640
0.779 0.502 0.277
0.001 0.001 0.500
0.001 0.501 0.000
0.501 0.001 0.000
0.501 0.501 0.500
0.774 0.274 0.500
```



The following is a theoretical XRD peak list of Mn5V6Fe. It was derived from the GGA-PBE geometry in Alexandria, using λ = 1.5418 Å (Cu Kα).
Intensities are scaled so that the largest is 100.

Main lines, low angle first (10 to 90 degrees two-theta):
2θ/deg, Rel. int.
31.18, 1
44.66, 100
44.76, 20
65.03, 17
82.26, 17
82.43, 17

Crystal structure
```
Mn5V6Fe
1.0
-2.031 2.870 6.074
2.031 -2.870 6.074
2.031 2.870 -6.074
Mn V Fe
5 6 1
direct
0.000 0.000 0.000
0.167 0.667 0.500
0.334 0.334 0.000
0.666 0.666 0.000
0.833 0.333 0.500
0.081 0.832 0.249
0.248 0.500 0.748
0.416 0.168 0.249
0.584 0.832 0.751
0.752 0.500 0.252
0.919 0.168 0.751
0.500 0.000 0.500
```



The following is a theoretical XRD peak list of Mn2V5Fe. It was derived from the GGA-PBE geometry in Alexandria, using λ = 1.5418 Å (Cu Kα).
Intensities are scaled so that the largest is 100.

Main lines, low angle first (10 to 90 degrees two-theta):
2θ/deg, Rel. int.
37.20, 12
41.30, 100
43.35, 21
43.73, 10
45.71, 14
49.21, 39

Crystal structure
```
Mn2V5Fe
1.0
-2.928 2.928 5.955
2.928 -2.928 5.955
2.928 2.928 -5.955
Mn V Fe
4 10 2
direct
0.139 0.639 0.777
0.361 0.139 0.500
0.639 0.861 0.500
0.861 0.361 0.223
0.000 0.000 0.000
0.011 0.177 0.500
0.177 0.677 0.166
0.323 0.489 0.500
0.489 0.989 0.166
0.500 0.500 0.000
0.511 0.011 0.834
0.677 0.511 0.500
0.823 0.323 0.834
0.989 0.823 0.500
0.250 0.250 0.000
0.750 0.750 0.000
```



- Which formula does entry 5 have?
  Mn5V6Fe